# Al5PdPt2
Theoretical powder XRD pattern, Cu Kα (weighted mean of Kα1 and Kα2). Input: DFT lattice parameters and positions (PBE).
Intensities are scaled so that the largest is 1000.

Cell and atoms:
a b c (Å): 12.6382 5.7894 7.0690
angles (deg): 90.00 90.00 90.00
Space group Pnma (No. 62)
Inequivalent atoms, fractional coordinates:
Al1 0.0025 0.2500 0.0746 [4 per cell]
Al2 0.1328 0.5137 0.3312 [8 per cell]
Al3 0.1736 0.2500 0.6634 [4 per cell]
Al4 0.1909 0.7500 0.6703 [4 per cell]
Pd1 0.0040 0.7500 0.5386 [4 per cell]
Pt1 0.1703 0.9999 0.9753 [8 per cell]

Top 6 peaks for 2θ = 10–80°, in order of rising 2θ:
| 2theta | I (rel.) | hkl |
| --- | --- | --- |
| 24.6 | 1000 | 3 0 1 |
| 25.2 | 497 | 0 0 2 |
| 34.2 | 338 | 1 2 1 |
| 39.9 | 309 | 3 2 1 |
| 42.9 | 513 | 6 0 0 |
| 44.0 | 353 | 3 0 3 |


# NdCo2B
Theoretical powder XRD pattern, Cu Kα (weighted mean of Kα1 and Kα2). Input: DFT lattice parameters and positions (PBE).
Intensities are scaled so that the largest is 1000.

Cell and atoms:
a b c (Å): 5.1327 9.4911 4.9807
angles (deg): 90.00 90.00 90.00
Space group Cmme (No. 67)
Inequivalent atoms, fractional coordinates:
Nd1 0.0000 0.2500 0.2473 [4 per cell]
Co1 0.0000 0.0419 0.7190 [8 per cell]
B1 0.2500 0.0000 0.0000 [4 per cell]

Top 6 peaks for 2θ = 10–80°, in order of rising 2θ:
| 2theta | I (rel.) | hkl |
| --- | --- | --- |
| 26.6 | 496 | 1 1 1 |
| 35.0 | 330 | 2 0 0 |
| 36.1 | 282 | 0 0 2 |
| 38.0 | 1000 | 1 3 1 |
| 51.1 | 227 | 2 0 2 |
| 64.7 | 165 | 3 3 1 |


# TlAuC2O6
Theoretical powder XRD pattern, Cu Kα (weighted mean of Kα1 and Kα2). Input: DFT lattice parameters and positions (PBE).
Intensities are scaled so that the largest is 1000.

Cell and atoms:
a b c (Å): 5.0713 5.0713 17.7526
angles (deg): 90.00 90.00 120.00
Space group R-3 (No. 148, hexagonal axes)
Inequivalent atoms, fractional coordinates:
Tl1 0.0000 0.0000 0.0000 [3 per cell]
Au1 0.0000 0.0000 0.5000 [3 per cell]
C1 0.0000 0.0000 0.2586 [6 per cell]
O1 0.0032 0.2582 0.2579 [18 per cell]

Top 6 peaks for 2θ = 10–80°, in order of rising 2θ:
| 2theta | I (rel.) | hkl |
| --- | --- | --- |
| 22.6 | 996 | 0 1 2 |
| 28.6 | 1000 | 1 0 4 |
| 35.4 | 413 | 1 1 0 |
| 42.4 | 289 | 2 0 2 |
| 45.8 | 268 | 0 1 8 |
| 47.2 | 431 | 1 1 6 |


What did the first record say?
# Al5PdPt2
Theoretical powder XRD pattern, Cu Kα (weighted mean of Kα1 and Kα2). Input: DFT lattice parameters and positions (PBE).
Intensities are scaled so that the largest is 1000.

Cell and atoms:
a b c (Å): 12.6382 5.7894 7.0690
angles (deg): 90.00 90.00 90.00
Space group Pnma (No. 62)
Inequivalent atoms, fractional coordinates:
Al1 0.0025 0.2500 0.0746 [4 per cell]
Al2 0.1328 0.5137 0.3312 [8 per cell]
Al3 0.1736 0.2500 0.6634 [4 per cell]
Al4 0.1909 0.7500 0.6703 [4 per cell]
Pd1 0.0040 0.7500 0.5386 [4 per cell]
Pt1 0.1703 0.9999 0.9753 [8 per cell]

Top 6 peaks for 2θ = 10–80°, in order of rising 2θ:
| 2theta | I (rel.) | hkl |
| --- | --- | --- |
| 24.6 | 1000 | 3 0 1 |
| 25.2 | 497 | 0 0 2 |
| 34.2 | 338 | 1 2 1 |
| 39.9 | 309 | 3 2 1 |
| 42.9 | 513 | 6 0 0 |
| 44.0 | 353 | 3 0 3 |